[1]
Simulated powder diffractogram of Li4V2SiO8 for λ = 1.5418 Å (Cu Kα), from DFT lattice parameters and positions (GGA+U).
Lines closer than 0.1° are merged.

Crystal structure
```
60
Lattice="8.277 0.000 0.000 0.000 10.937 0.000 -1.910 0.000 8.056" Properties=species:S:1:pos:R:3 pbc="T T T"
Li -0.182 0.855 2.295
Li -1.137 4.613 6.323
Li -0.285 1.847 4.802
Li 0.670 3.622 0.774
Li 0.085 7.284 5.413
Li 1.040 9.121 1.385
Li 2.332 1.769 2.751
Li 1.377 3.699 6.779
Li 4.990 7.237 1.277
Li 4.035 9.168 5.305
Li 5.327 1.816 6.671
Li 6.282 3.652 2.643
Li 5.698 7.315 7.282
Li 6.653 9.090 3.254
Li 7.505 6.323 1.733
Li 6.550 10.082 5.761
V -0.100 0.937 7.800
V 0.855 4.531 3.772
V 2.085 6.441 0.414
V 1.130 9.964 4.442
V 5.237 0.973 3.614
V 4.282 4.495 7.641
V 5.512 6.405 4.284
V 6.467 10.000 0.256
Si 2.597 7.283 3.423
Si 1.642 9.122 7.451
Si 4.726 1.814 0.605
Si 3.771 3.654 4.632
O -1.136 0.938 6.364
O -0.181 4.531 2.336
O 0.602 7.288 0.767
O -0.352 9.117 4.795
O 1.121 1.724 1.145
O 0.166 3.744 5.173
O 1.102 0.681 3.883
O 0.147 4.787 7.911
O 1.359 6.363 4.035
O 2.314 10.042 0.007
O 1.058 7.595 7.219
O 2.013 8.810 3.191
O 1.560 1.866 7.587
O 2.515 3.603 3.559
O 3.176 6.727 1.981
O 2.221 9.678 6.009
O 4.147 1.259 2.047
O 3.192 4.209 6.075
O 3.853 7.334 4.497
O 4.808 9.071 0.469
O 4.354 2.126 4.865
O 5.309 3.342 0.837
O 4.054 0.895 8.049
O 5.009 4.573 4.021
O 6.220 6.150 0.145
O 5.265 10.255 4.173
O 6.201 7.193 2.883
O 5.246 9.212 6.911
O 6.720 1.820 3.261
O 5.765 3.648 7.289
O 6.549 6.406 5.720
O 7.504 9.999 1.692
```

The 12 most intense peaks (2θ from 5° to 70°), by angle:
d (Å), 2θ (°), I_rel, index
4.524, 19.62, 21, 0 2 1
4.183, 21.24, 95, 1 2 -1
4.028, 22.07, 100, 0 0 2
3.779, 23.54, 22, 2 1 0
3.744, 23.77, 21, 1 2 1
3.244, 27.50, 29, 2 0 -2
2.792, 32.06, 57, 2 2 -2
2.734, 32.75, 32, 0 4 0
2.703, 33.15, 25, 0 3 2
2.662, 33.67, 21, 1 1 -3
2.567, 34.95, 48, 2 0 2
1.589, 58.03, 29, 2 6 -2



[2]
Simulated powder diffractogram of Li2V4Si4O13 for λ = 1.5418 Å (Cu Kα), from DFT lattice parameters and positions (GGA+U).
Lines closer than 0.1° are merged.

Crystal structure
```
46
Lattice="6.955 0.000 0.000 1.729 7.824 0.000 1.706 3.537 9.537" Properties=species:S:1:pos:R:3 pbc="T T T"
Li 2.351 1.945 4.103
Li 4.317 7.118 8.392
Li 6.073 4.243 1.145
Li 8.039 9.416 5.434
V 2.545 4.998 9.410
V 2.567 6.469 5.945
V 4.306 6.382 0.093
V 4.324 4.873 3.611
V 6.065 6.489 5.926
V 6.083 4.979 9.444
V 7.822 4.892 3.592
V 7.845 6.364 0.127
Si 2.816 7.639 2.758
Si 2.603 3.880 1.634
Si 4.294 9.268 6.833
Si 4.512 3.757 6.766
Si 5.877 7.605 2.770
Si 6.095 2.094 2.704
Si 7.787 7.482 7.903
Si 7.573 3.723 6.778
O 2.257 6.634 8.075
O 3.002 10.115 6.204
O 2.511 6.363 3.727
O 2.571 7.457 1.156
O 4.304 9.174 8.453
O 2.606 3.577 3.273
O 2.617 2.577 0.639
O 4.320 7.811 6.134
O 4.353 8.102 3.045
O 4.262 5.066 5.817
O 4.295 4.005 8.368
O 3.759 2.399 6.219
O 4.011 4.763 1.468
O 6.378 6.599 8.069
O 6.630 8.962 3.317
O 6.095 7.357 1.169
O 6.127 6.296 3.720
O 6.037 3.260 6.492
O 6.069 3.551 3.403
O 7.772 8.785 8.898
O 7.783 7.785 6.264
O 6.085 2.188 1.084
O 7.819 3.905 8.381
O 7.878 4.999 5.810
O 7.387 1.247 3.332
O 8.133 4.727 1.461
```

The 12 most intense peaks (2θ from 5° to 70°), by angle:
d (Å), 2θ (°), I_rel, index
7.136, 12.40, 26, 0 1 1
5.030, 17.63, 10, 0 1 -1
3.179, 28.07, 38, 0 0 3
3.083, 28.96, 40, 0 2 -1
2.807, 31.88, 100, -2 1 1
2.541, 35.32, 18, 0 1 4
2.443, 36.78, 21, 0 3 0
2.317, 38.87, 10, 2 3 2
1.839, 49.57, 14, 2 -3 0
1.741, 52.55, 14, 0 2 -4
1.739, 52.65, 24, 4 1 1
1.550, 59.64, 15, -2 4 1



[3]
Simulated powder diffractogram of Li3VSi2O7 for λ = 1.5418 Å (Cu Kα), from DFT lattice parameters and positions (GGA+U).
Lines closer than 0.1° are merged.

Crystal structure
```
52
Lattice="9.033 0.000 0.000 0.000 12.483 0.000 0.000 0.000 5.013" Properties=species:S:1:pos:R:3 pbc="T T T"
Li 0.156 3.121 0.087
Li 1.566 7.393 2.653
Li 1.566 11.331 2.653
Li 2.951 1.152 0.146
Li 2.951 5.090 0.146
Li 4.361 9.362 2.594
Li 4.672 3.121 2.419
Li 6.083 7.393 4.866
Li 6.083 11.331 4.866
Li 7.467 1.152 2.360
Li 7.467 5.090 2.360
Li 8.877 9.362 4.925
V 0.000 0.000 0.000
V 0.000 6.242 0.000
V 4.517 0.000 2.506
V 4.517 6.242 2.506
Si 1.648 1.644 2.530
Si 1.648 4.597 2.530
Si 2.868 7.886 0.023
Si 2.868 10.839 0.023
Si 6.165 1.644 4.989
Si 6.165 4.597 4.989
Si 7.385 7.886 2.483
Si 7.385 10.839 2.483
O 0.959 0.447 1.666
O 0.959 5.794 1.666
O 1.052 3.121 1.982
O 1.266 7.844 4.670
O 1.266 10.880 4.670
O 1.288 1.496 4.116
O 1.288 4.746 4.116
O 3.229 7.737 1.609
O 3.229 10.988 1.609
O 3.251 1.603 2.164
O 3.251 4.639 2.164
O 3.465 9.362 4.489
O 3.558 6.689 4.172
O 3.558 12.036 4.172
O 5.475 0.447 0.840
O 5.475 5.794 0.840
O 5.569 3.121 0.524
O 5.782 7.844 2.848
O 5.782 10.880 2.848
O 5.804 1.496 3.403
O 5.804 4.746 3.403
O 7.746 7.737 0.897
O 7.746 10.988 0.897
O 7.767 1.603 0.342
O 7.767 4.639 0.342
O 7.981 9.362 3.030
O 8.074 6.689 3.347
O 8.074 12.036 3.347
```

The 12 most intense peaks (2θ from 5° to 70°), by angle:
d (Å), 2θ (°), I_rel, index
6.242, 14.19, 77, 0 2 0
4.383, 20.26, 20, 1 0 1
4.247, 20.92, 48, 2 1 0
4.135, 21.49, 100, 1 1 1
3.659, 24.33, 31, 2 2 0
3.587, 24.82, 42, 1 2 1
2.581, 34.76, 40, 3 0 1
2.568, 34.95, 60, 2 4 0
2.506, 35.83, 25, 0 0 2
2.285, 39.43, 31, 2 4 1
1.794, 50.91, 27, 2 4 2
1.493, 62.19, 27, 5 4 1